Starting from DFT lattice parameters and positions (PBE), the X-ray powder pattern of BaSrCeHfO6 was computed for Cu Kα (weighted mean of Kα1 and Kα2).

Main lines, most intense first (2θ = 5–70°):
two_theta	I (rel.)	h k l
29.45	100	1 -1 2
52.20	26	2 0 -4
42.13	22	2 2 0
29.55	20	1 1 2
52.39	13	3 1 2
52.30	13	3 -1 2
42.23	11	0 0 4
69.24	10	3 -3 2
61.15	10	2 -2 4
20.72	9	1 1 0
61.04	6	2 2 -4
69.42	5	1 -1 6

Structure:
Lattice parameters (Å, degrees): 6.064 6.071 8.560 90.18 90.19 90.04
Space group P-1 (No. 2)
Inequivalent atoms, fractional coordinates:
Ba: 0.005 0.021 0.250 (multiplicity 2)
Sr: 0.495 0.529 0.252 (multiplicity 2)
Ce: 0.000 0.500 0.500 (multiplicity 1)
Ce: 0.500 0.000 0.000 (multiplicity 1)
Hf: 0.000 0.500 0.000 (multiplicity 1)
Hf: 0.500 0.000 0.500 (multiplicity 1)
O: 0.083 0.504 0.760 (multiplicity 2)
O: 0.211 0.772 0.034 (multiplicity 2)
O: 0.229 0.788 0.468 (multiplicity 2)
O: 0.274 0.294 0.044 (multiplicity 2)
O: 0.297 0.277 0.458 (multiplicity 2)
O: 0.438 0.033 0.740 (multiplicity 2)